# CrAgF4
Computed X-ray diffraction stick pattern, λ = 1.5418 Å (Cu Kα). Input: DFT lattice parameters and positions (GGA+U).

Crystal structure
Lattice parameters (Å, degrees): 5.4282 5.4282 3.1002 90.00 90.00 92.47
Fractional positions:
Cr1 0.0000 0.0000 0.0000
Ag1 0.5000 0.5000 0.5000
F1 0.1606 0.8394 0.5000
F2 0.2547 0.2547 0.0000
F3 0.7453 0.7453 0.0000
F4 0.8394 0.1606 0.5000

Main lines, in order of rising 2θ (2θ from 10° to 90°):
Position (°2θ), I_rel
22.68, 100
23.70, 69
33.03, 25
33.29, 85
37.63, 29
47.06, 60
48.14, 31
48.49, 19
54.17, 16
59.16, 29


# CrAgF4
Computed X-ray diffraction stick pattern, λ = 1.5418 Å (Cu Kα). Input: DFT lattice parameters and positions (GGA+U).

Crystal structure
Lattice parameters (Å, degrees): 5.4608 6.0548 5.1235 90.00 90.00 90.00
Fractional positions:
Cr1 0.0000 0.0000 0.0000
Cr2 0.5000 0.0000 0.5000
Ag1 0.0000 0.5000 0.5000
Ag2 0.5000 0.5000 0.0000
F1 0.0000 0.2927 0.1401
F2 0.0000 0.7073 0.8599
F3 0.2500 0.1022 0.7500
F4 0.2500 0.8978 0.2500
F5 0.5000 0.2927 0.3599
F6 0.5000 0.7073 0.6401
F7 0.7500 0.1022 0.7500
F8 0.7500 0.8978 0.2500

Main lines, in order of rising 2θ (2θ from 10° to 90°):
Position (°2θ), I_rel
28.06, 100
29.51, 18
32.80, 18
38.26, 11
46.43, 12
48.74, 15
51.46, 23
55.70, 13
58.01, 15
58.65, 13


Please write out number 1 again, unchanged.
# CrAgF4
Computed X-ray diffraction stick pattern, λ = 1.5418 Å (Cu Kα). Input: DFT lattice parameters and positions (GGA+U).

Crystal structure
Lattice parameters (Å, degrees): 5.4282 5.4282 3.1002 90.00 90.00 92.47
Fractional positions:
Cr1 0.0000 0.0000 0.0000
Ag1 0.5000 0.5000 0.5000
F1 0.1606 0.8394 0.5000
F2 0.2547 0.2547 0.0000
F3 0.7453 0.7453 0.0000
F4 0.8394 0.1606 0.5000

Main lines, in order of rising 2θ (2θ from 10° to 90°):
Position (°2θ), I_rel
22.68, 100
23.70, 69
33.03, 25
33.29, 85
37.63, 29
47.06, 60
48.14, 31
48.49, 19
54.17, 16
59.16, 29